[1]
This entry pairs a crystal structure of Hg4P2Br5 with its simulated X-ray powder pattern. Radiation: Cu Kα, 1.54184 Å. Structure: a GGA-PBE-relaxed structure.
Intensities are scaled so that the largest is 100.

Cell and atoms:
Lattice parameters (Å, degrees): 4.148 8.886 9.573 106.14 102.47 90.70
Fractional positions:
Hg  0.012  0.257  0.018
Hg  0.331  0.912  0.664
Hg  0.669  0.088  0.336
Hg  0.988  0.743  0.982
P  0.466  0.075  0.930
P  0.534  0.925  0.070
Br  0.167  0.334  0.320
Br  0.184  0.812  0.376
Br  0.500  0.500  0.000
Br  0.816  0.188  0.624
Br  0.833  0.666  0.680

Principal peaks in the range 2θ = 10–80°, in order of falling intensity:
two_theta  intensity
29.3  100
29.7  99
29.9  86
16.3  57
10.4  53
43.7  37
43.1  35
40.7  34
43.5  34
41.6  29

[2]
This entry pairs a crystal structure of Hg2PBr with its simulated X-ray powder pattern. Radiation: Cu Kα, 1.54184 Å. Structure: a GGA-PBE-relaxed structure.
Intensities are scaled so that the largest is 100.

Cell and atoms:
Lattice parameters (Å, degrees): 8.182 3.939 7.101 90.00 92.60 90.00
Fractional positions:
Hg  0.000  0.000  0.000
Hg  0.199  0.500  0.641
Hg  0.500  0.500  0.000
Hg  0.699  0.000  0.641
P  0.281  0.000  0.870
P  0.781  0.500  0.870
Br  0.489  0.000  0.345
Br  0.989  0.500  0.345

Principal peaks in the range 2θ = 10–80°, in order of falling intensity:
two_theta  intensity
27.9  100
36.2  58
25.6  40
24.6  37
57.6  29
32.7  26
25.1  25
12.5  24
38.1  23
42.8  23

[3]
This entry pairs a crystal structure of HgPbBr with its simulated X-ray powder pattern. Radiation: Cu Kα, 1.54184 Å. Structure: a GGA-PBE-relaxed structure.
Intensities are scaled so that the largest is 100.

Cell and atoms:
Lattice parameters (Å, degrees): 6.911 7.192 7.879 90.00 90.00 90.00
Fractional positions:
Hg  0.250  0.074  0.000
Hg  0.250  0.926  0.500
Hg  0.750  0.426  0.000
Hg  0.750  0.574  0.500
Pb  0.000  0.250  0.703
Pb  0.000  0.750  0.797
Pb  0.500  0.250  0.297
Pb  0.500  0.750  0.203
Br  0.155  0.500  0.250
Br  0.345  0.500  0.750
Br  0.655  0.000  0.750
Br  0.845  0.000  0.250

Principal peaks in the range 2θ = 10–80°, in order of falling intensity:
two_theta  intensity
30.2  100
28.9  98
17.1  49
34.5  49
36.0  47
30.9  32
58.6  25
17.8  24
44.7  23
36.4  23

[4]
This entry pairs a crystal structure of HgPb2Br with its simulated X-ray powder pattern. Radiation: Cu Kα, 1.54184 Å. Structure: a GGA-PBE-relaxed structure.
Intensities are scaled so that the largest is 100.

Cell and atoms:
Lattice parameters (Å, degrees): 3.636 5.864 6.067 90.00 106.67 90.00
Fractional positions:
Hg  0.000  0.000  0.000
Pb  0.263  0.000  0.522
Pb  0.712  0.500  0.418
Br  0.461  0.500  0.911

Principal peaks in the range 2θ = 10–80°, in order of falling intensity:
two_theta  intensity
29.8  100
30.0  99
30.5  93
30.8  62
43.9  48
37.0  45
34.4  45
37.4  43
59.9  28
50.2  24

[5]
This entry pairs a crystal structure of Hg2PbS2Br2 with its simulated X-ray powder pattern. Radiation: Cu Kα, 1.54184 Å. Structure: a GGA-PBE-relaxed structure.
Intensities are scaled so that the largest is 100.

Cell and atoms:
Lattice parameters (Å, degrees): 9.953 8.136 12.758 90.00 122.54 90.00
Fractional positions:
Hg  0.081  0.193  0.119
Hg  0.081  0.307  0.619
Hg  0.245  0.043  0.879
Hg  0.245  0.457  0.379
Hg  0.755  0.543  0.621
Hg  0.755  0.957  0.121
Hg  0.919  0.693  0.381
Hg  0.919  0.807  0.881
Pb  0.365  0.585  0.084
Pb  0.365  0.915  0.584
Pb  0.635  0.085  0.416
Pb  0.635  0.415  0.916
S  0.185  0.587  0.517
S  0.185  0.913  0.017
S  0.331  0.172  0.756
S  0.331  0.328  0.256
S  0.669  0.672  0.744
S  0.669  0.828  0.244
S  0.815  0.087  0.983
S  0.815  0.413  0.483
Br  0.083  0.090  0.389
Br  0.083  0.410  0.889
Br  0.421  0.695  0.885
Br  0.421  0.805  0.385
Br  0.579  0.195  0.615
Br  0.579  0.305  0.115
Br  0.917  0.590  0.111
Br  0.917  0.910  0.611

Principal peaks in the range 2θ = 10–80°, in order of falling intensity:
two_theta  intensity
23.8  100
28.8  86
19.8  86
24.9  70
33.3  65
37.1  61
30.3  53
17.7  44
27.5  43
30.6  38

[6]
This entry pairs a crystal structure of SrHgPbBr6 with its simulated X-ray powder pattern. Radiation: Cu Kα, 1.54184 Å. Structure: a GGA-PBE-relaxed structure.
Intensities are scaled so that the largest is 100.

Cell and atoms:
Lattice parameters (Å, degrees): 7.486 7.486 13.436 90.00 90.00 120.00
Fractional positions:
Sr  0.000  0.000  0.000
Sr  0.000  0.000  0.500
Hg  0.333  0.667  0.250
Hg  0.667  0.333  0.750
Pb  0.333  0.667  0.750
Pb  0.667  0.333  0.250
Br  0.019  0.357  0.126
Br  0.019  0.662  0.374
Br  0.338  0.357  0.374
Br  0.338  0.981  0.126
Br  0.357  0.019  0.626
Br  0.357  0.338  0.874
Br  0.643  0.662  0.126
Br  0.643  0.981  0.374
Br  0.662  0.019  0.874
Br  0.662  0.643  0.626
Br  0.981  0.338  0.626
Br  0.981  0.643  0.874

Principal peaks in the range 2θ = 10–80°, in order of falling intensity:
two_theta  intensity
27.3  100
35.9  96
19.0  72
41.8  53
13.2  32
56.3  25
39.1  25
72.5  23
47.3  23
30.6  23

[7]
This entry pairs a crystal structure of TiHgPbBr6 with its simulated X-ray powder pattern. Radiation: Cu Kα, 1.54184 Å. Structure: a GGA-PBE-relaxed structure.
Intensities are scaled so that the largest is 100.

Cell and atoms:
Lattice parameters (Å, degrees): 7.288 7.288 8.545 90.00 90.00 120.00
Fractional positions:
Ti  0.000  0.000  0.000
Hg  0.333  0.667  0.500
Pb  0.667  0.333  0.000
Br  0.283  0.004  0.176
Br  0.283  0.279  0.824
Br  0.721  0.004  0.824
Br  0.721  0.717  0.176
Br  0.996  0.279  0.176
Br  0.996  0.717  0.824

Principal peaks in the range 2θ = 10–80°, in order of falling intensity:
two_theta  intensity
17.5  100
32.3  75
26.6  35
39.2  35
10.4  33
43.0  25
30.2  24
49.5  21
34.5  18
25.2  15

[8]
This entry pairs a crystal structure of RbHgPdBr2 with its simulated X-ray powder pattern. Radiation: Cu Kα, 1.54184 Å. Structure: a GGA-PBE-relaxed structure.
Intensities are scaled so that the largest is 100.

Cell and atoms:
Lattice parameters (Å, degrees): 5.416 5.416 5.360 90.00 90.00 90.00
Fractional positions:
Rb  0.000  0.000  0.000
Hg  0.500  0.500  0.000
Pd  0.500  0.500  0.500
Br  0.000  0.500  0.500
Br  0.500  0.000  0.500

Principal peaks in the range 2θ = 10–80°, in order of falling intensity:
two_theta  intensity
28.6  100
33.1  92
16.4  78
47.7  65
33.4  45
23.2  37
59.3  34
47.5  33
56.4  30
37.1  21

[9]
This entry pairs a crystal structure of Pm4HgBr5 with its simulated X-ray powder pattern. Radiation: Cu Kα, 1.54184 Å. Structure: a GGA-PBE-relaxed structure.
Intensities are scaled so that the largest is 100.

Cell and atoms:
Lattice parameters (Å, degrees): 9.496 9.496 8.940 101.41 101.41 24.99
Fractional positions:
Pm  0.003  0.003  0.242
Pm  0.336  0.336  0.926
Pm  0.664  0.664  0.074
Pm  0.997  0.997  0.758
Hg  0.500  0.500  0.000
Br  0.168  0.168  0.321
Br  0.169  0.169  0.825
Br  0.500  0.500  0.500
Br  0.831  0.831  0.175
Br  0.832  0.832  0.679

Principal peaks in the range 2θ = 10–80°, in order of falling intensity:
two_theta  intensity
29.5  100
10.1  42
41.7  26
42.8  24
40.4  14
53.9  12
61.3  12
68.6  12
44.1  11
70.3  11

[10]
This entry pairs a crystal structure of PrSmHgBr with its simulated X-ray powder pattern. Radiation: Cu Kα, 1.54184 Å. Structure: a GGA-PBE-relaxed structure.
Intensities are scaled so that the largest is 100.

Cell and atoms:
Lattice parameters (Å, degrees): 7.635 7.635 7.635 90.00 90.00 90.00
Fractional positions:
Pr  0.000  0.000  0.000
Pr  0.000  0.500  0.500
Pr  0.500  0.000  0.500
Pr  0.500  0.500  0.000
Sm  0.000  0.000  0.500
Sm  0.000  0.500  0.000
Sm  0.500  0.000  0.000
Sm  0.500  0.500  0.500
Hg  0.250  0.250  0.750
Hg  0.250  0.750  0.250
Hg  0.750  0.250  0.250
Hg  0.750  0.750  0.750
Br  0.250  0.250  0.250
Br  0.250  0.750  0.750
Br  0.750  0.250  0.750
Br  0.750  0.750  0.250

Principal peaks in the range 2θ = 10–80°, in order of falling intensity:
two_theta  intensity
33.2  100
59.3  38
47.6  18
79.4  17
69.7  12
20.1  9
39.1  6
52.2  3
63.3  2
73.4  2

[11]
This entry pairs a crystal structure of PuHgBr6 with its simulated X-ray powder pattern. Radiation: Cu Kα, 1.54184 Å. Structure: a GGA-PBE-relaxed structure.
Intensities are scaled so that the largest is 100.

Cell and atoms:
Lattice parameters (Å, degrees): 7.108 12.763 7.106 90.00 111.49 90.00
Fractional positions:
Pu  0.000  0.000  0.000
Pu  0.500  0.500  0.000
Hg  0.000  0.500  0.500
Hg  0.500  0.000  0.500
Br  0.230  0.000  0.770
Br  0.246  0.347  0.746
Br  0.246  0.653  0.746
Br  0.254  0.153  0.254
Br  0.254  0.847  0.254
Br  0.270  0.500  0.230
Br  0.730  0.500  0.770
Br  0.746  0.153  0.746
Br  0.746  0.847  0.746
Br  0.754  0.347  0.254
Br  0.754  0.653  0.254
Br  0.770  0.000  0.230

Principal peaks in the range 2θ = 10–80°, in order of falling intensity:
two_theta  intensity
16.6  100
30.7  92
13.9  81
30.4  80
43.8  66
23.3  36
39.2  31
42.5  19
33.6  18
38.7  18

[12]
This entry pairs a crystal structure of PuHgBr6 with its simulated X-ray powder pattern. Radiation: Cu Kα, 1.54184 Å. Structure: a GGA-PBE-relaxed structure.
Intensities are scaled so that the largest is 100.

Cell and atoms:
Lattice parameters (Å, degrees): 7.596 7.596 7.596 54.78 54.78 54.78
Fractional positions:
Pu  0.000  0.000  0.000
Hg  0.500  0.500  0.500
Br  0.082  0.759  0.407
Br  0.241  0.593  0.918
Br  0.407  0.082  0.759
Br  0.593  0.918  0.241
Br  0.759  0.407  0.082
Br  0.918  0.241  0.593

Principal peaks in the range 2θ = 10–80°, in order of falling intensity:
two_theta  intensity
17.3  100
38.0  69
29.1  56
23.6  46
44.9  39
40.5  23
31.0  23
43.8  20
35.0  19
60.3  18

[13]
This entry pairs a crystal structure of Pu3Hg2Br8 with its simulated X-ray powder pattern. Radiation: Cu Kα, 1.54184 Å. Structure: a GGA-PBE-relaxed structure.
Intensities are scaled so that the largest is 100.

Cell and atoms:
Lattice parameters (Å, degrees): 8.612 8.612 19.861 90.00 90.00 120.00
Fractional positions:
Pu  0.166  0.333  0.000
Pu  0.166  0.834  0.000
Pu  0.333  0.166  0.500
Pu  0.667  0.834  0.000
Pu  0.834  0.166  0.500
Pu  0.834  0.667  0.500
Hg  0.333  0.667  0.256
Hg  0.333  0.667  0.726
Hg  0.667  0.333  0.226
Hg  0.667  0.333  0.756
Br  0.000  0.000  0.084
Br  0.000  0.000  0.584
Br  0.017  0.508  0.079
Br  0.158  0.317  0.421
Br  0.158  0.842  0.421
Br  0.317  0.158  0.921
Br  0.333  0.667  0.917
Br  0.492  0.508  0.079
Br  0.492  0.983  0.079
Br  0.508  0.017  0.579
Br  0.508  0.492  0.579
Br  0.667  0.333  0.417
Br  0.683  0.842  0.421
Br  0.842  0.158  0.921
Br  0.842  0.683  0.921
Br  0.983  0.492  0.579

Principal peaks in the range 2θ = 10–80°, in order of falling intensity:
two_theta  intensity
33.0  100
22.5  89
17.9  71
42.0  69
30.0  66
14.9  58
27.4  48
24.3  31
12.7  30
47.9  29